Starting from a crystal structure in Alexandria, relaxed with GGA-PBE, the X-ray powder pattern of K4Sb2O5 was simulated for Cu Ka.

Crystal structure
a b c (Å): 6.463 3.946 18.787
angles (deg): 90.00 90.00 90.00
Space group Amm2 (No. 38)
Unique sites:
K 0.000 0.000 0.000 x2
K 0.000 0.000 0.334 x2
K 0.500 0.000 0.138 x2
K 0.500 0.000 0.474 x2
Sb 0.000 0.000 0.650 x2
Sb 0.500 0.000 0.822 x2
O 0.000 0.000 0.188 x2
O 0.229 0.000 0.582 x4
O 0.272 0.000 0.889 x4

Peak list (12 most intense, 15 to 90 degrees two-theta, low angle first)
hkl 1 0 2, 16.65 deg, I 39; hkl 0 0 4, 18.89 deg, I 15; hkl 0 1 1, 23.03 deg, I 16; hkl 1 0 4, 23.41 deg, I 11; hkl 2 0 0, 27.60 deg, I 26; hkl 0 0 6, 28.51 deg, I 20; hkl 1 1 3, 30.13 deg, I 100; hkl 2 0 6, 40.10 deg, I 29; hkl 0 2 0, 46.00 deg, I 11; hkl 3 1 3, 50.42 deg, I 21; hkl 1 1 9, 51.51 deg, I 18; hkl 2 2 6, 62.64 deg, I 14